This entry pairs a crystal structure of ThAs with its calculated powder diffractogram. Radiation: copper Kα. Structure: a DFT-relaxed cell (GGA-PBE, the Materials Project).
Neutral-atom scattering factors, no anomalous dispersion.

a = 6.015 Å, b = 6.015 Å, c = 6.015 Å
α = 90.00°, β = 90.00°, γ = 90.00°
Sites, in units of the cell vectors:
Th  0.000  0.000  0.000
Th  0.000  0.500  0.500
Th  0.500  0.000  0.500
Th  0.500  0.500  0.000
As  0.000  0.000  0.500
As  0.000  0.500  0.000
As  0.500  0.000  0.000
As  0.500  0.500  0.500

The 9 most intense peaks (10 to 80 degrees two-theta), low angle first:
(1 1 1), 2θ = 25.65°, I = 44.0; (2 0 0), 2θ = 29.71°, I = 100.0; (2 2 0), 2θ = 42.51°, I = 76.6; (3 1 1), 2θ = 50.31°, I = 23.0; (2 2 2), 2θ = 52.72°, I = 27.5; (4 0 0), 2θ = 61.68°, I = 12.9; (3 3 1), 2θ = 67.93°, I = 9.7; (4 2 0), 2θ = 69.94°, I = 35.7; (4 2 2), 2θ = 77.79°, I = 26.8